Simulated powder diffraction line list
Compound: PrMg2Cd3
Radiation: λ = 1.5418 Å (Cu Kα)
Structure: the PBE geometry in Alexandria

Main lines, in order of rising 2θ (2θ = 10–90°):
| 2θ/deg | d [Å] | I (rel.) |
| --- | --- | --- |
| 16.36 | 5.419 | 28 |
| 28.60 | 3.121 | 59 |
| 29.63 | 3.015 | 37 |
| 30.29 | 2.951 | 100 |
| 31.19 | 2.868 | 60 |
| 33.12 | 2.705 | 29 |
| 38.91 | 2.315 | 38 |
| 41.60 | 2.171 | 29 |
| 42.82 | 2.112 | 45 |
| 51.72 | 1.767 | 22 |
| 59.09 | 1.563 | 14 |
| 75.66 | 1.257 | 14 |

Atomic structure:
```
data_PrMg2Cd3
_chemical_formula_sum 'Pr2 Mg4 Cd6'
_cell_length_a 7.0185
_cell_length_b 7.0185
_cell_length_c 6.2425
_cell_angle_alpha 90.00
_cell_angle_beta 90.00
_cell_angle_gamma 78.91
_symmetry_space_group_name_H-M 'P 1'
_symmetry_Int_Tables_number 1
_symmetry_space_group_name_Hall 'P 1'
loop_
_atom_site_label
_atom_site_fract_x
_atom_site_fract_y
_atom_site_fract_z
Pr1 0.1493 0.8507 0.7500
Pr2 0.8507 0.1493 0.2500
Mg1 0.2756 0.2756 0.0000
Mg2 0.2756 0.2756 0.5000
Mg3 0.7244 0.7244 0.0000
Mg4 0.7244 0.7244 0.5000
Cd1 0.0686 0.6456 0.2500
Cd2 0.3544 0.9314 0.2500
Cd3 0.4855 0.5145 0.2500
Cd4 0.5145 0.4855 0.7500
Cd5 0.6456 0.0686 0.7500
Cd6 0.9314 0.3544 0.7500
```